No. 1
Starting from the PBE geometry in Alexandria, the powder diffraction line list of SiOsCN was simulated for Cu Kα, 1.54184 Å.
Neutral-atom scattering factors, no anomalous dispersion.

Structural model:
a = 2.8808 Å, b = 2.9368 Å, c = 5.1071 Å
α = 90.00°, β = 90.00°, γ = 90.00°
Fractional coordinates of all 4 atoms:
Si1 0.0000 0.0000 0.0000
Os1 0.5000 0.5000 0.5013
C1 0.0000 0.5000 0.7872
N1 0.5000 0.0000 0.2058

Peak list (10 most intense, 2θ = 10–90°, in order of rising 2θ)
(0 0 1), 2θ 17.36, rel. 100
(0 1 0), 2θ 30.44, rel. 28
(1 0 0), 2θ 31.04, rel. 29
(0 0 2), 2θ 35.14, rel. 31
(0 1 1), 2θ 35.25, rel. 77
(1 0 1), 2θ 35.79, rel. 72
(1 1 0), 2θ 44.03, rel. 33
(1 1 1), 2θ 47.64, rel. 55
(1 1 2), 2θ 57.54, rel. 43
(2 1 1), 2θ 75.88, rel. 24

***

No. 2
Starting from the PBE geometry in Alexandria, the powder diffraction line list of AlRuF6 was simulated for Cu Kα, 1.54184 Å.
Neutral-atom scattering factors, no anomalous dispersion.

Structural model:
a = 4.8227 Å, b = 4.8227 Å, c = 9.0399 Å
α = 90.00°, β = 90.00°, γ = 120.00°
Fractional coordinates of all 16 atoms:
Al1 0.0000 0.0000 0.0000
Al2 0.0000 0.0000 0.5000
Ru1 0.3333 0.6667 0.2500
Ru2 0.6667 0.3333 0.7500
F1 0.0078 0.3159 0.1167
F2 0.0078 0.6919 0.3833
F3 0.3081 0.3159 0.3833
F4 0.3081 0.9922 0.1167
F5 0.3159 0.0078 0.6167
F6 0.3159 0.3081 0.8833
F7 0.6841 0.6919 0.1167
F8 0.6841 0.9922 0.3833
F9 0.6919 0.0078 0.8833
F10 0.6919 0.6841 0.6167
F11 0.9922 0.3081 0.6167
F12 0.9922 0.6841 0.8833

Peak list (10 most intense, 2θ = 10–90°, in order of rising 2θ)
(0 0 2), 2θ 19.64, rel. 12
(1 0 1), 2θ 23.46, rel. 100
(1 0 2), 2θ 29.11, rel. 44
(1 0 3), 2θ 36.78, rel. 28
(1 1 2), 2θ 42.49, rel. 39
(2 0 1), 2θ 44.53, rel. 15
(2 0 3), 2θ 53.38, rel. 11
(2 -1 4), 2θ 55.75, rel. 35
(2 1 1), 2θ 59.44, rel. 14
(3 0 0), 2θ 67.25, rel. 14

***

No. 3
Starting from the PBE geometry in Alexandria, the powder diffraction line list of Ac2HoSb3Pd4 was simulated for Cu Kα, 1.54184 Å.
Neutral-atom scattering factors, no anomalous dispersion.

Structural model:
a = 4.6286 Å, b = 4.6286 Å, c = 11.4887 Å
α = 90.00°, β = 90.00°, γ = 90.00°
Fractional coordinates of all 10 atoms:
Ac1 0.0000 0.5000 0.2209
Ac2 0.5000 0.0000 0.7791
Ho1 0.0000 0.0000 0.5000
Sb1 0.0000 0.5000 0.8728
Sb2 0.5000 0.0000 0.1272
Sb3 0.5000 0.5000 0.5000
Pd1 0.0000 0.0000 0.0000
Pd2 0.0000 0.5000 0.6412
Pd3 0.5000 0.0000 0.3588
Pd4 0.5000 0.5000 0.0000

Peak list (10 most intense, 2θ = 10–90°, in order of rising 2θ)
(1 1 0), 2θ 27.25, rel. 12
(1 0 3), 2θ 30.29, rel. 49
(1 1 2), 2θ 31.46, rel. 100
(2 0 0), 2θ 38.92, rel. 60
(1 1 4), 2θ 41.85, rel. 18
(1 0 5), 2θ 44.00, rel. 19
(2 1 3), 2θ 50.09, rel. 24
(2 2 0), 2θ 56.21, rel. 20
(2 1 5), 2θ 60.17, rel. 15
(3 1 2), 2θ 65.85, rel. 24

***

No. 4
Starting from the PBE geometry in Alexandria, the powder diffraction line list of CsHoIn2Cl6 was simulated for Cu Kα, 1.54184 Å.
Neutral-atom scattering factors, no anomalous dispersion.

Structural model:
a = 7.9238 Å, b = 7.9501 Å, c = 8.2218 Å
α = 90.06°, β = 118.80°, γ = 119.89°
Fractional coordinates of all 10 atoms:
Cs1 0.0000 0.0000 0.0000
Ho1 0.9713 0.4856 0.4559
In1 0.5708 0.2859 0.8550
In2 0.5915 0.7959 0.3866
Cl1 0.0756 0.4245 0.2052
Cl2 0.0835 0.2619 0.6591
Cl3 0.3975 0.8216 0.6577
Cl4 0.5564 0.1324 0.2046
Cl5 0.7805 0.6488 0.2036
Cl6 0.8361 0.5767 0.6575

Peak list (10 most intense, 2θ = 10–90°, in order of rising 2θ)
(-1 1 1), 2θ 15.52, rel. 51
(1 -1 1), 2θ 21.63, rel. 94
(-2 1 1), 2θ 22.39, rel. 100
(-2 1 2), 2θ 25.95, rel. 21
(0 2 -2), 2θ 31.33, rel. 47
(1 1 1), 2θ 34.64, rel. 83
(1 2 0), 2θ 38.81, rel. 35
(-3 1 3), 2θ 38.92, rel. 17
(3 0 -2), 2θ 39.35, rel. 33
(1 0 -4), 2θ 46.22, rel. 18

***

No. 5
Starting from the PBE geometry in Alexandria, the powder diffraction line list of Sc2TaAs was simulated for Cu Kα, 1.54184 Å.
Neutral-atom scattering factors, no anomalous dispersion.

Structural model:
a = 4.1579 Å, b = 3.7299 Å, c = 10.5550 Å
α = 90.00°, β = 90.00°, γ = 90.00°
Fractional coordinates of all 8 atoms:
Sc1 0.0000 0.0000 0.0000
Sc2 0.0000 0.5000 0.5000
Sc3 0.5000 0.0000 0.2967
Sc4 0.5000 0.5000 0.7967
Ta1 0.5000 0.0000 0.5744
Ta2 0.5000 0.5000 0.0744
As1 0.0000 0.0000 0.7252
As2 0.0000 0.5000 0.2252

Peak list (10 most intense, 2θ = 10–90°, in order of rising 2θ)
(0 0 2), 2θ 16.80, rel. 64
(0 1 1), 2θ 25.33, rel. 73
(1 0 2), 2θ 27.31, rel. 34
(1 1 1), 2θ 33.37, rel. 99
(0 1 3), 2θ 35.06, rel. 25
(1 0 4), 2θ 40.49, rel. 57
(1 1 3), 2θ 41.43, rel. 100
(2 0 0), 2θ 43.53, rel. 32
(2 1 1), 2θ 51.03, rel. 23
(1 2 4), 2θ 65.24, rel. 27